No. 1
Diffraction record for YB2C. The powder diffraction line list is theoretical, not measured: it uses a cell relaxed with GGA-PBE and a wavelength of 1.5418 Å.
Lines closer than 0.1° are merged.

Top 10 peaks for 2θ from 15° to 90°, in order of rising 2θ:
23.74°, I = 395; 26.20°, I = 600; 29.36°, I = 662; 35.64°, I = 801; 38.10°, I = 1000; 44.77°, I = 235; 48.58°, I = 198; 55.72°, I = 351; 61.40°, I = 332; 77.00°, I = 259

Cell and atoms:
```
YB2C
1.0
6.802 0.000 0.000
0.000 6.802 0.000
0.000 0.000 7.497
Y B C
8 16 8
Cartesian
1.295 2.106 1.874 Y
1.295 2.106 5.623 Y
2.106 5.507 1.874 Y
2.106 5.507 5.623 Y
4.696 1.295 1.874 Y
4.696 1.295 5.623 Y
5.507 4.696 1.874 Y
5.507 4.696 5.623 Y
0.236 5.770 0.000 B
0.647 4.061 0.000 B
0.660 4.048 3.748 B
1.032 0.236 3.748 B
2.369 3.637 3.748 B
2.741 0.647 3.748 B
2.754 0.660 0.000 B
3.165 2.369 0.000 B
3.637 4.433 0.000 B
4.048 6.142 0.000 B
4.061 6.155 3.748 B
4.433 3.165 3.748 B
5.770 6.566 3.748 B
6.142 2.754 3.748 B
6.155 2.741 0.000 B
6.566 1.032 0.000 B
0.276 5.597 3.748 C
1.205 0.276 0.000 C
2.196 3.677 0.000 C
3.126 2.196 3.748 C
3.677 4.606 3.748 C
4.606 3.126 0.000 C
5.597 6.527 0.000 C
6.527 1.205 3.748 C
```

---

No. 2
Diffraction record for Cs2NpBr6. The powder diffraction line list is theoretical, not measured: it uses a cell relaxed with GGA-PBE and a wavelength of 1.5418 Å.
Lines closer than 0.1° are merged.

Top 10 peaks for 2θ from 15° to 90°, in order of rising 2θ:
22.15°, I = 526; 26.03°, I = 336; 27.21°, I = 562; 31.53°, I = 1000; 38.87°, I = 249; 45.19°, I = 727; 53.55°, I = 233; 56.14°, I = 253; 74.81°, I = 325; 83.43°, I = 248

Cell and atoms:
```
Cs2NpBr6
1.0
0.000 5.676 5.676
5.676 0.000 5.676
5.676 5.676 0.000
Cs Np Br
2 1 6
Cartesian
2.838 2.838 2.838 Cs
8.513 8.513 8.513 Cs
0.000 0.000 0.000 Np
5.676 5.676 2.772 Br
5.676 2.772 5.676 Br
8.579 5.676 5.676 Br
2.772 5.676 5.676 Br
5.676 8.579 5.676 Br
5.676 5.676 8.579 Br
```

---

No. 3
Diffraction record for ErCl3. The powder diffraction line list is theoretical, not measured: it uses a cell relaxed with GGA-PBE and a wavelength of 1.5418 Å.
Lines closer than 0.1° are merged.

Top 10 peaks for 2θ from 15° to 90°, in order of rising 2θ:
18.22°, I = 1000; 21.07°, I = 457; 27.25°, I = 216; 32.97°, I = 722; 36.92°, I = 212; 37.93°, I = 586; 38.48°, I = 172; 46.49°, I = 450; 49.53°, I = 165; 67.18°, I = 171

Cell and atoms:
```
ErCl3
1.0
9.739 0.000 0.000
-4.870 8.434 0.000
0.000 0.000 3.551
Er Cl
2 6
Cartesian
0.000 5.623 0.888 Er
4.870 2.811 2.664 Er
0.000 3.666 2.664 Cl
-1.695 6.601 2.664 Cl
3.175 1.833 0.888 Cl
1.695 6.601 2.664 Cl
6.564 1.833 0.888 Cl
4.870 4.769 0.888 Cl
```